(1)
Starting from a structure optimized by DFT (PBE), the powder X-ray diffraction pattern of Bi2Br2O was calculated for λ = 1.5418 Å (Cu Kα).
Intensities are scaled so that the largest is 100.

Principal peaks in the range 2θ from 10° to 80°, most intense first:
27.43 deg, rel. 100
36.96 deg, rel. 64
24.30 deg, rel. 46
39.17 deg, rel. 39
46.63 deg, rel. 33
46.50 deg, rel. 21
69.54 deg, rel. 21
64.02 deg, rel. 19
28.11 deg, rel. 16
33.09 deg, rel. 14
62.49 deg, rel. 14
18.16 deg, rel. 14

```
Bi2Br2O
1.0
3.2521 0.0000 0.0000
0.0000 3.2521 0.0000
0.0000 0.0000 14.6539
Bi Br O
2 2 1
Direct
0.0000 0.0000 0.1430
0.0000 0.0000 0.8570
0.0000 0.0000 0.3533
0.0000 0.0000 0.6467
0.0000 0.0000 0.0000
```

***

(2)
Starting from a structure optimized by DFT (PBE), the powder X-ray diffraction pattern of NaMgRuO3 was calculated for λ = 1.5418 Å (Cu Kα).
Intensities are scaled so that the largest is 100.

Principal peaks in the range 2θ from 10° to 80°, most intense first:
17.78 deg, rel. 100
25.29 deg, rel. 63
33.50 deg, rel. 62
46.39 deg, rel. 51
37.25 deg, rel. 51
23.54 deg, rel. 48
32.20 deg, rel. 38
32.48 deg, rel. 32
49.05 deg, rel. 21
51.92 deg, rel. 18
60.74 deg, rel. 17
56.01 deg, rel. 17

```
NaMgRuO3
1.0
2.7868 -2.7795 0.0000
2.7868 2.7795 0.0000
-2.0501 0.0000 4.9882
Na Mg Ru O
1 1 1 3
Direct
0.0000 0.0000 0.0000
0.6886 0.6886 0.3906
0.2999 0.2999 0.6433
0.2437 0.7712 0.5352
0.5757 0.5757 0.0033
0.7712 0.2437 0.5352
```

***

(3)
Starting from a structure optimized by DFT (PBE), the powder X-ray diffraction pattern of Mo3WS8 was calculated for λ = 1.5418 Å (Cu Kα).
Intensities are scaled so that the largest is 100.

Principal peaks in the range 2θ from 10° to 80°, most intense first:
12.35 deg, rel. 100
38.27 deg, rel. 48
46.54 deg, rel. 29
32.41 deg, rel. 24
14.84 deg, rel. 22
34.79 deg, rel. 15
57.79 deg, rel. 14
33.27 deg, rel. 14
59.33 deg, rel. 14
48.48 deg, rel. 10
35.80 deg, rel. 9
32.79 deg, rel. 9

```
Mo3WS8
1.0
3.1915 0.0000 0.0000
-1.5957 2.7639 0.0000
0.0000 0.0000 35.8271
Mo W S
3 1 8
Direct
0.0000 0.0000 0.0000
0.0000 0.0000 0.3757
0.3333 0.6667 0.1879
0.3333 0.6667 0.5637
0.0000 0.0000 0.1442
0.0000 0.0000 0.2316
0.0000 0.0000 0.5198
0.0000 0.0000 0.6076
0.3333 0.6667 0.0437
0.3333 0.6667 0.3321
0.3333 0.6667 0.4194
0.3333 0.6667 0.9563
```